BP4S3Br3: computed powder diffractogram (CuKα), based on a crystal structure in Alexandria, relaxed with PBE.
Neutral-atom scattering factors, no anomalous dispersion.

Main lines, in order of falling intensity (2θ from 15° to 90°):
Position (°2θ)  d (Å)  I_rel  h k l
26.60  3.351  100.0  2 0 0
15.24  5.813  78.4  1 1 0
30.36  2.944  56.2  1 3 1
15.14  5.853  44.9  0 2 0
32.93  2.720  36.8  0 1 3
21.19  4.193  32.4  0 0 2
38.81  2.321  22.0  3 1 -2
21.79  4.080  18.8  1 1 -2
29.72  3.006  18.5  1 0 -3
27.24  3.274  16.3  2 0 -2

Crystal structure
Cell lengths 7.2098, 11.7060, 9.0285 Å; angles 90.00, 111.74, 90.00 degrees
Fractional coordinates of all 22 atoms:
B 0.1851 0.2500 0.2787
B 0.8149 0.7500 0.7213
P 0.1473 0.2500 0.8283
P 0.2528 0.2500 0.5156
P 0.4366 0.1528 0.8694
P 0.4366 0.3472 0.8694
P 0.5634 0.6528 0.1306
P 0.5634 0.8472 0.1306
P 0.7472 0.7500 0.4844
P 0.8527 0.7500 0.1717
S 0.0012 0.2500 0.5789
S 0.4185 0.1094 0.6378
S 0.4185 0.3906 0.6378
S 0.5815 0.6094 0.3622
S 0.5815 0.8906 0.3622
S 0.9988 0.7500 0.4211
Br 0.0287 0.1067 0.1982
Br 0.0287 0.3933 0.1982
Br 0.4503 0.2500 0.2492
Br 0.5497 0.7500 0.7508
Br 0.9713 0.6067 0.8018
Br 0.9713 0.8933 0.8018